# 1
Structure and simulated powder X-ray diffraction pattern of Er5Ge10Ir4 (a cell relaxed with GGA-PBE; λ = 1.5418 Å (Cu Kα)).
No peak broadening, texture or thermal motion is included.

Principal peaks in the range 10° ≤ 2θ ≤ 90°, low angle first:
- 2.767 Å, I 26.5
- 2.596 Å, I 100.0
- 2.547 Å, I 62.5
- 2.498 Å, I 69.5
- 2.159 Å, I 54.1
- 2.055 Å, I 23.0
- 2.029 Å, I 30.8
- 1.649 Å, I 26.7

Structure:
a b c (Å): 12.9967 12.9967 4.3170
angles (deg): 90.00 90.00 90.00
Positions (direct):
Er  0.0000  0.0000  0.0000
Er  0.1152  0.3848  0.5000
Er  0.1734  0.6734  0.5000
Er  0.3266  0.1734  0.5000
Er  0.3848  0.8848  0.5000
Er  0.5000  0.5000  0.0000
Er  0.6152  0.1152  0.5000
Er  0.6734  0.8266  0.5000
Er  0.8266  0.3266  0.5000
Er  0.8848  0.6152  0.5000
Ge  0.0048  0.8444  0.5000
Ge  0.0669  0.5669  0.0000
Ge  0.1556  0.0048  0.5000
Ge  0.1644  0.1999  0.0000
Ge  0.1999  0.8356  0.0000
Ge  0.3001  0.3356  0.0000
Ge  0.3356  0.6999  0.0000
Ge  0.3444  0.5048  0.5000
Ge  0.4331  0.0669  0.0000
Ge  0.4952  0.3444  0.5000
Ge  0.5048  0.6556  0.5000
Ge  0.5669  0.9331  0.0000
Ge  0.6556  0.4952  0.5000
Ge  0.6644  0.3001  0.0000
Ge  0.6999  0.6644  0.0000
Ge  0.8001  0.1644  0.0000
Ge  0.8356  0.8001  0.0000
Ge  0.8444  0.9952  0.5000
Ge  0.9331  0.4331  0.0000
Ge  0.9952  0.1556  0.5000
Ir  0.0197  0.7537  0.0000
Ir  0.2463  0.0197  0.0000
Ir  0.2537  0.5197  0.0000
Ir  0.4803  0.2537  0.0000
Ir  0.5197  0.7463  0.0000
Ir  0.7463  0.4803  0.0000
Ir  0.7537  0.9803  0.0000
Ir  0.9803  0.2463  0.0000


# 2
Structure and simulated powder X-ray diffraction pattern of KGaGe3 (a cell relaxed with GGA-PBE; λ = 1.5418 Å (Cu Kα)).
No peak broadening, texture or thermal motion is included.

Principal peaks in the range 10° ≤ 2θ ≤ 90°, low angle first:
- 5.024 Å, I 100.0
- 3.022 Å, I 67.7
- 2.864 Å, I 50.3
- 2.512 Å, I 91.4
- 2.213 Å, I 69.7
- 2.038 Å, I 47.5
- 1.675 Å, I 40.5
- 1.208 Å, I 26.6

Structure:
a b c (Å): 5.0323 5.0323 5.0323
angles (deg): 87.66 87.66 87.66
Positions (direct):
K  0.0000  0.0000  0.0000
Ga  0.6162  0.6162  0.6162
Ge  0.1120  0.4882  0.4882
Ge  0.4882  0.1120  0.4882
Ge  0.4882  0.4882  0.1120


# 3
Structure and simulated powder X-ray diffraction pattern of La2Cu15Rh2 (a cell relaxed with GGA-PBE; λ = 1.5418 Å (Cu Kα)).
No peak broadening, texture or thermal motion is included.

Principal peaks in the range 10° ≤ 2θ ≤ 90°, low angle first:
- 2.531 Å, I 56.5
- 2.413 Å, I 40.3
- 2.192 Å, I 92.3
- 2.163 Å, I 100.0
- 2.086 Å, I 73.4
- 1.940 Å, I 48.2
- 1.884 Å, I 23.7
- 1.218 Å, I 26.4

Structure:
a b c (Å): 6.5567 6.5567 6.5567
angles (deg): 83.92 83.92 83.92
Positions (direct):
La  0.1679  0.1679  0.1679
La  0.8321  0.8321  0.8321
Cu  0.0000  0.5000  0.5000
Cu  0.1517  0.1517  0.6532
Cu  0.1517  0.6532  0.1517
Cu  0.2121  0.5000  0.7879
Cu  0.2121  0.7879  0.5000
Cu  0.3468  0.8483  0.8483
Cu  0.5000  0.0000  0.5000
Cu  0.5000  0.2121  0.7879
Cu  0.5000  0.5000  0.0000
Cu  0.5000  0.7879  0.2121
Cu  0.6532  0.1517  0.1517
Cu  0.7879  0.2121  0.5000
Cu  0.7879  0.5000  0.2121
Cu  0.8483  0.3468  0.8483
Cu  0.8483  0.8483  0.3468
Rh  0.3938  0.3938  0.3938
Rh  0.6062  0.6062  0.6062


# 4
Structure and simulated powder X-ray diffraction pattern of LiHgSeI (a cell relaxed with GGA-PBE; λ = 1.5418 Å (Cu Kα)).
No peak broadening, texture or thermal motion is included.

Principal peaks in the range 10° ≤ 2θ ≤ 90°, low angle first:
- 7.341 Å, I 49.5
- 3.813 Å, I 78.5
- 3.670 Å, I 59.4
- 3.653 Å, I 100.0
- 2.442 Å, I 34.8
- 2.244 Å, I 56.5
- 2.235 Å, I 64.0
- 1.909 Å, I 74.7

Structure:
a b c (Å): 7.7813 7.7813 7.7813
angles (deg): 33.39 33.39 33.39
Positions (direct):
Li  0.0000  0.0000  0.0000
Hg  0.4817  0.4817  0.4817
Se  0.1171  0.1171  0.1171
I  0.6226  0.6226  0.6226


# 5
Structure and simulated powder X-ray diffraction pattern of KCd2InAg (a cell relaxed with GGA-PBE; λ = 1.5418 Å (Cu Kα)).
No peak broadening, texture or thermal motion is included.

Principal peaks in the range 10° ≤ 2θ ≤ 90°, low angle first:
- 6.274 Å, I 35.6
- 4.543 Å, I 24.1
- 4.381 Å, I 25.4
- 2.971 Å, I 100.0
- 2.437 Å, I 37.1
- 2.337 Å, I 32.8
- 2.297 Å, I 81.2
- 1.687 Å, I 23.0

Structure:
a b c (Å): 7.1248 7.1248 7.1248
angles (deg): 141.70 140.00 56.58
Positions (direct):
K  0.0000  0.0000  0.0000
Cd  0.6106  0.6106  0.0000
Cd  0.7616  0.2616  0.5000
In  0.2553  0.7553  0.5000
Ag  0.3873  0.3873  0.0000


# 6
Structure and simulated powder X-ray diffraction pattern of Pr2Nd6Tm (a cell relaxed with GGA-PBE; λ = 1.5418 Å (Cu Kα)).
No peak broadening, texture or thermal motion is included.

Principal peaks in the range 10° ≤ 2θ ≤ 90°, low angle first:
- 2.913 Å, I 91.7
- 2.895 Å, I 100.0
- 2.251 Å, I 9.7
- 2.054 Å, I 33.9
- 1.678 Å, I 11.9
- 1.674 Å, I 37.0
- 1.522 Å, I 28.9
- 1.094 Å, I 9.6

Structure:
a b c (Å): 10.0403 10.0403 3.5787
angles (deg): 90.00 90.00 120.20
Positions (direct):
Pr  0.1669  0.8331  0.0000
Pr  0.8331  0.1669  0.0000
Nd  0.1693  0.4990  0.5000
Nd  0.1702  0.1702  0.5000
Nd  0.4990  0.1693  0.5000
Nd  0.5010  0.8307  0.5000
Nd  0.8298  0.8298  0.5000
Nd  0.8307  0.5010  0.5000
Tm  0.5000  0.5000  0.0000


# 7
Structure and simulated powder X-ray diffraction pattern of Sm2Cd3Pd4 (a cell relaxed with GGA-PBE; λ = 1.5418 Å (Cu Kα)).
No peak broadening, texture or thermal motion is included.

Principal peaks in the range 10° ≤ 2θ ≤ 90°, low angle first:
- 2.772 Å, I 67.1
- 2.582 Å, I 35.3
- 2.413 Å, I 17.3
- 2.399 Å, I 33.6
- 2.293 Å, I 100.0
- 2.051 Å, I 15.4
- 1.648 Å, I 14.8
- 1.383 Å, I 18.3

Structure:
a b c (Å): 9.1782 9.1782 7.4861
angles (deg): 90.00 90.00 143.17
Positions (direct):
Sm  0.1050  0.8950  0.9163
Sm  0.3950  0.6050  0.4163
Sm  0.6050  0.3950  0.5837
Sm  0.8950  0.1050  0.0837
Cd  0.0000  0.0000  0.5000
Cd  0.0144  0.4856  0.7500
Cd  0.4856  0.0144  0.2500
Cd  0.5000  0.5000  0.0000
Cd  0.5144  0.9856  0.7500
Cd  0.9856  0.5144  0.2500
Pd  0.1606  0.8394  0.5297
Pd  0.1755  0.3245  0.7500
Pd  0.3245  0.1755  0.2500
Pd  0.3394  0.6606  0.0297
Pd  0.6606  0.3394  0.9703
Pd  0.6755  0.8245  0.7500
Pd  0.8245  0.6755  0.2500
Pd  0.8394  0.1606  0.4703


# 8
Structure and simulated powder X-ray diffraction pattern of Pd5Pt3 (a cell relaxed with GGA-PBE; λ = 1.5418 Å (Cu Kα)).
No peak broadening, texture or thermal motion is included.

Principal peaks in the range 10° ≤ 2θ ≤ 90°, low angle first:
- 7.903 Å, I 2.5
- 3.836 Å, I 6.4
- 3.162 Å, I 3.6
- 2.282 Å, I 100.0
- 1.977 Å, I 48.8
- 1.398 Å, I 31.5
- 1.192 Å, I 37.6
- 1.141 Å, I 11.1

Structure:
a b c (Å): 8.3829 8.3829 8.3829
angles (deg): 152.72 152.72 38.97
Positions (direct):
Pd  0.0000  0.0000  0.0000
Pd  0.2509  0.2509  0.0000
Pd  0.6243  0.1243  0.5000
Pd  0.7491  0.7491  0.0000
Pd  0.8757  0.3757  0.5000
Pt  0.1255  0.6255  0.5000
Pt  0.3745  0.8745  0.5000
Pt  0.5000  0.5000  0.0000


Please write out number 5 again, unchanged.
Structure and simulated powder X-ray diffraction pattern of KCd2InAg (a cell relaxed with GGA-PBE; λ = 1.5418 Å (Cu Kα)).
No peak broadening, texture or thermal motion is included.

Principal peaks in the range 10° ≤ 2θ ≤ 90°, low angle first:
- 6.274 Å, I 35.6
- 4.543 Å, I 24.1
- 4.381 Å, I 25.4
- 2.971 Å, I 100.0
- 2.437 Å, I 37.1
- 2.337 Å, I 32.8
- 2.297 Å, I 81.2
- 1.687 Å, I 23.0

Structure:
a b c (Å): 7.1248 7.1248 7.1248
angles (deg): 141.70 140.00 56.58
Positions (direct):
K  0.0000  0.0000  0.0000
Cd  0.6106  0.6106  0.0000
Cd  0.7616  0.2616  0.5000
In  0.2553  0.7553  0.5000
Ag  0.3873  0.3873  0.0000